# CeNpTlO6
Computed X-ray diffraction stick pattern, Cu Kα (weighted mean of Kα1 and Kα2). Input: DFT lattice parameters and positions (GGA-PBE).
Kinematic intensities with the Lorentz-polarization factor, no thermal factor.

Structural model:
```
CeNpTlO6
1.0
-3.652 4.053 5.191
3.652 -4.053 5.191
3.652 4.053 -5.191
Ce Np Tl O
2 2 2 12
direct
0.500 0.000 0.000 Ce
0.500 0.500 0.500 Ce
0.000 0.000 0.000 Np
0.500 0.000 0.500 Np
0.109 0.359 0.750 Tl
0.891 0.641 0.250 Tl
0.106 0.318 0.167 O
0.106 0.939 0.788 O
0.339 0.089 0.250 O
0.349 0.061 0.667 O
0.349 0.682 0.288 O
0.393 0.643 0.750 O
0.607 0.357 0.250 O
0.651 0.318 0.712 O
0.651 0.939 0.333 O
0.661 0.911 0.750 O
0.894 0.061 0.212 O
0.894 0.682 0.833 O
```

Main lines, in order of rising 2θ (10 to 90 degrees two-theta):
- 2θ = 14.83°, intensity 23
- 2θ = 23.72°, intensity 35
- 2θ = 26.58°, intensity 100
- 2θ = 27.93°, intensity 53
- 2θ = 28.15°, intensity 45
- 2θ = 28.54°, intensity 49
- 2θ = 29.92°, intensity 31
- 2θ = 42.51°, intensity 30
- 2θ = 44.72°, intensity 20
- 2θ = 48.54°, intensity 55